Theoretical XRD peak list of NaIn2Hg4 for Cu Kα (λ = 1.5418 Å), from a DFT-relaxed cell (GGA-PBE, Alexandria).
Intensities are scaled so that the largest is 100.

Structure:
abc: 5.828 13.907 5.031
angles: 90.00 90.00 90.00
Space group Cmmm (No. 65)
Inequivalent atoms, fractional coordinates:
Na 0.000 0.000 0.000
In 0.000 0.395 0.500
Hg 0.000 0.147 0.500
Hg 0.000 0.284 0.000

Largest 10 diffraction maxima, low angle first, 10° ≤ 2θ ≤ 90°:
| 2theta | intensity | h k l |
| --- | --- | --- |
| 12.7 | 85 | 0 2 0 |
| 30.4 | 93 | 1 3 1 |
| 30.7 | 85 | 2 0 0 |
| 31.3 | 100 | 0 4 1 |
| 35.7 | 62 | 0 0 2 |
| 40.1 | 40 | 1 5 1 |
| 44.4 | 81 | 2 4 1 |
| 47.8 | 51 | 2 0 2 |
| 48.4 | 31 | 1 7 0 |
| 61.6 | 30 | 1 7 2 |